Starting from DFT lattice parameters and positions (GGA+U), the powder X-ray diffraction pattern of K3WC4N4OF was computed for CuKα.
Neutral-atom scattering factors, no anomalous dispersion.

Crystal structure
Cell: 8.0654 8.2643 8.8143 Å, 93.62 100.15 92.44°
Element x y z (fractional)
K 0.2036 0.3339 0.0086
K 0.2394 0.7349 0.7332
K 0.2956 0.1587 0.4991
K 0.7044 0.8413 0.5009
K 0.7606 0.2651 0.2668
K 0.7964 0.6661 0.9914
W 0.2448 0.7509 0.2253
W 0.7552 0.2491 0.7747
C 0.0260 0.8815 0.2715
C 0.1540 0.5293 0.3158
C 0.3601 0.9859 0.1846
C 0.4831 0.6345 0.2219
C 0.5169 0.3655 0.7781
C 0.6399 0.0141 0.8154
C 0.8460 0.4707 0.6842
C 0.9740 0.1185 0.7285
N 0.0918 0.0464 0.7082
N 0.1084 0.4019 0.3506
N 0.3894 0.4292 0.7794
N 0.4190 0.1168 0.1748
N 0.5810 0.8832 0.8252
N 0.6106 0.5708 0.2206
N 0.8916 0.5981 0.6494
N 0.9082 0.9536 0.2918
O 0.1545 0.6865 0.0287
O 0.8455 0.3135 0.9713
F 0.3483 0.8232 0.4532
F 0.6517 0.1768 0.5468

Principal peaks in the range 10 to 90 degrees two-theta, by angle:
| hkl | Position (°2θ) | d [Å] | I (rel.) |
| --- | --- | --- | --- |
| 1 0 -1 | 13.73 | 6.450 | 87 |
| 0 1 -1 | 14.30 | 6.192 | 100 |
| 1 -1 0 | 15.08 | 5.874 | 74 |
| 1 1 0 | 15.94 | 5.561 | 44 |
| 0 2 0 | 21.58 | 4.118 | 54 |
| 2 0 0 | 22.43 | 3.963 | 64 |
| 1 1 -2 | 23.75 | 3.746 | 58 |
| 1 1 2 | 28.28 | 3.156 | 60 |